Simulated X-ray powder pattern of Cu7Ag13 for Cu Kα, from the GGA-PBE geometry in OQMD.
Peak positions follow from Bragg's law for the DFT cell and can differ from measured ones.

Structural model:
Cell lengths 4.886, 7.439, 8.952 Å; angles 83.23, 79.19, 89.87 degrees
Positions (direct):
Cu 0.000 0.000 0.000
Cu 0.046 0.437 0.342
Cu 0.148 0.334 0.041
Cu 0.251 0.240 0.744
Cu 0.331 0.152 0.453
Cu 0.750 0.744 0.245
Cu 0.797 0.197 0.589
Ag 0.085 0.911 0.695
Ag 0.194 0.789 0.393
Ag 0.279 0.687 0.101
Ag 0.390 0.583 0.797
Ag 0.453 0.041 0.148
Ag 0.505 0.482 0.490
Ag 0.531 0.950 0.845
Ag 0.594 0.395 0.194
Ag 0.638 0.851 0.540
Ag 0.715 0.287 0.891
Ag 0.843 0.652 0.948
Ag 0.902 0.102 0.296
Ag 0.952 0.533 0.639

Most intense lines, 2θ from 10° to 90°, by angle:
d/Å, Rel. int., hkl
2.304, 100, 1 0 -3
2.299, 33, 0 3 -1
2.003, 22, 1 -1 4
1.993, 21, 2 2 0
1.987, 20, -1 3 2
1.408, 18, -3 1 2